Diffraction record for Sc2MoF11. The X-ray diffraction stick pattern is computed, not measured: it uses a GGA+U-relaxed structure and λ = 1.5418 Å (Cu Kα).
Peak positions follow from Bragg's law for the DFT cell and can differ from measured ones.

Crystal structure
```
data_Sc2MoF11
_cell_length_a 7.4188
_cell_length_b 9.6911
_cell_length_c 10.3670
_cell_angle_alpha 90.00
_cell_angle_beta 90.00
_cell_angle_gamma 90.00
_space_group_name_H-M_alt 'I b a m'
_space_group_IT_number 72
_space_group_name_Hall '-I 2 2c'
loop_
_atom_site_label
_atom_site_type_symbol
_atom_site_fract_x
_atom_site_fract_y
_atom_site_fract_z
Sc1 Sc 0.1342 0.1806 0.0000
Mo1 Mo 0.0000 0.5000 0.2500
F1 F 0.0000 0.0000 0.0000
F2 F 0.0935 0.3343 0.1509
F3 F 0.1318 0.2233 0.5000
F4 F 0.2160 0.4337 0.3556
```

Principal peaks in the range 10° ≤ 2θ ≤ 90°, in order of rising 2θ:
(1 1 0), 15.04°, d = 5.891 Å, rel. 471; (1 1 2), 22.85°, d = 3.891 Å, rel. 1000; (1 2 1), 23.55°, d = 3.778 Å, rel. 107; (0 2 2), 25.16°, d = 3.540 Å, rel. 449; (2 1 1), 27.14°, d = 3.286 Å, rel. 121; (1 3 4), 46.56°, d = 1.950 Å, rel. 195; (2 2 4), 46.68°, d = 1.946 Å, rel. 164; (3 3 2), 49.65°, d = 1.836 Å, rel. 173; (1 5 2), 51.85°, d = 1.763 Å, rel. 134; (4 2 0), 52.86°, d = 1.732 Å, rel. 119